1.
For PuAu11, a PBE-relaxed structure gives the calculated powder diffractogram in this record (Cu Kα (λ = 1.5418 Å)).
Intensities are scaled so that the largest is 100.

Cell and atoms:
```
PuAu11
1.0
-5.658 5.658 3.773
5.658 -5.658 3.773
5.658 5.658 -3.773
Pu Au
2 22
Cartesian
5.658 2.829 0.943
0.000 2.829 2.829
0.000 0.000 0.000
2.829 2.829 -1.886
2.829 -2.829 1.886
5.658 -2.829 2.829
4.301 -0.501 1.310
7.015 -0.501 1.310
2.328 1.472 0.577
8.989 1.472 0.577
4.301 5.157 -1.310
1.357 -0.501 2.463
2.328 4.186 0.577
3.330 -1.472 4.349
0.000 5.658 0.000
2.328 7.130 -0.577
3.330 1.472 3.196
4.301 6.159 1.310
1.357 0.501 5.082
-3.330 4.186 3.196
3.330 4.186 3.196
-1.357 6.159 2.463
1.357 6.159 2.463
0.000 8.487 0.943
```

Principal peaks in the range 10° ≤ 2θ ≤ 90°, in order of rising 2θ:
two_theta	Rel. int.
30.9	34
34.5	100
35.5	73
36.6	36
39.8	18
40.0	36
41.7	98
43.0	40
63.1	38
67.9	15
75.1	19
85.3	14



2.
For Zr3Co, a PBE-relaxed structure gives the calculated powder diffractogram in this record (Cu Kα (λ = 1.5418 Å)).
Intensities are scaled so that the largest is 100.

Cell and atoms:
```
Zr3Co
1.0
-1.610 4.751 2.624
1.610 -4.751 2.624
1.610 4.751 -2.624
Zr Co
3 1
Cartesian
0.000 0.000 0.000
1.610 2.859 -0.222
0.000 1.892 2.402
0.000 4.751 0.636
```

Principal peaks in the range 10° ≤ 2θ ≤ 90°, in order of rising 2θ:
two_theta	Rel. int.
29.3	9
32.6	8
33.0	36
34.2	25
37.9	100
39.2	10
45.6	18
56.2	8
57.2	9
60.5	11
67.4	17
67.7	9



3.
For TbCeHo2Sc4, a PBE-relaxed structure gives the calculated powder diffractogram in this record (Cu Kα (λ = 1.5418 Å)).
Intensities are scaled so that the largest is 100.

Cell and atoms:
```
TbCeHo2Sc4
1.0
4.912 0.000 0.000
0.000 4.912 0.000
0.000 0.000 9.134
Tb Ce Ho Sc
1 1 2 4
Cartesian
0.000 0.000 0.000
2.456 2.456 4.567
0.000 0.000 4.567
2.456 2.456 0.000
0.000 2.456 2.314
0.000 2.456 6.820
2.456 0.000 2.314
2.456 0.000 6.820
```

Principal peaks in the range 10° ≤ 2θ ≤ 90°, in order of rising 2θ:
two_theta	Rel. int.
19.4	26
25.6	27
32.4	100
36.6	36
39.5	14
41.8	16
47.7	11
52.7	12
54.9	22
63.2	28
67.1	12
67.8	11